Diffraction record for RbBeBi. The powder diffraction line list is simulated, not measured: it uses DFT lattice parameters and positions (GGA-PBE) and CuKα.
Neutral-atom scattering factors, no anomalous dispersion.

Largest 10 diffraction maxima, in order of falling intensity, 15 to 90 degrees two-theta:
hkl 0 0 2, 24.9 deg, intensity 100.0; hkl 1 1 0, 26.7 deg, intensity 90.2; hkl 1 1 -2, 29.2 deg, intensity 77.1; hkl 0 1 -1, 15.7 deg, intensity 48.5; hkl 0 2 0, 26.9 deg, intensity 44.9; hkl 1 3 0, 48.5 deg, intensity 26.7; hkl 1 3 -2, 45.9 deg, intensity 25.7; hkl 0 2 -2, 31.6 deg, intensity 24.8; hkl -1 1 2, 33.6 deg, intensity 23.3; hkl 0 2 2, 41.8 deg, intensity 21.7

```
6
Lattice="4.201 0.000 0.000 -0.007 6.862 0.000 -2.096 -1.950 7.147" Properties=species:S:1:pos:R:3 pbc="T T T"
Rb -0.006 1.673 1.449
Rb 2.104 3.239 5.698
Be -0.001 5.525 3.162
Be 2.099 -0.613 3.986
Bi -0.001 0.007 5.304
Bi 2.099 4.905 1.843
```